Entry 1:
Starting from a crystal structure in Alexandria, relaxed with GGA-PBE, the X-ray diffraction stick pattern of BaErAs2S8 was computed for Cu Ka.
Peak positions follow from Bragg's law for the DFT cell and can differ from measured ones.

Top 10 peaks for 2θ from 5° to 70°, low angle first:
2θ (°)	I_rel
16.61	37
19.16	37
25.39	100
28.97	53
30.55	17
34.93	45
38.89	32
49.05	40
49.22	33
51.34	30

Structure:
```
BaErAs2S8
1.0
6.165 0.000 0.000
-3.082 5.339 0.000
0.000 0.000 9.309
Ba Er As S
1 1 2 8
Cartesian
0.000 0.000 0.000
0.000 0.000 4.654
0.000 3.559 6.984
3.082 1.780 2.325
-1.959 3.589 2.896
0.953 1.847 2.896
0.000 3.559 9.163
2.077 0.098 6.413
1.006 5.241 2.896
3.082 1.780 0.146
2.129 3.491 6.413
5.042 1.749 6.413
```

---

Entry 2:
Starting from a crystal structure in Alexandria, relaxed with GGA-PBE, the X-ray diffraction stick pattern of ScSe2N2 was computed for Cu Ka.
Peak positions follow from Bragg's law for the DFT cell and can differ from measured ones.

Top 10 peaks for 2θ from 5° to 70°, low angle first:
2θ (°)	I_rel
27.22	62
28.28	100
36.00	16
39.66	94
40.43	48
49.42	51
56.16	13
61.10	15
64.06	19
65.69	13

Structure:
```
ScSe2N2
1.0
7.056 0.000 0.000
0.000 7.056 0.000
0.000 0.000 3.276
Sc Se N
2 4 4
Cartesian
0.000 0.000 0.000
3.528 3.528 0.000
1.090 2.438 0.000
2.438 5.966 0.000
4.618 1.090 0.000
5.966 4.618 0.000
1.655 5.183 1.638
1.873 1.655 1.638
5.183 5.401 1.638
5.401 1.873 1.638
```

---

Entry 3:
Starting from a crystal structure in Alexandria, relaxed with GGA-PBE, the X-ray diffraction stick pattern of Fe2NiIr8 was computed for Cu Ka.
Peak positions follow from Bragg's law for the DFT cell and can differ from measured ones.

Top 10 peaks for 2θ from 5° to 70°, low angle first:
2θ (°)	I_rel
26.22	24
28.99	19
31.50	22
36.57	34
41.79	81
43.07	100
44.10	46
44.45	47
54.84	12
64.41	30

Structure:
```
Fe2NiIr8
1.0
3.960 -4.901 0.000
3.960 4.901 0.000
0.000 0.000 4.076
Fe Ni Ir
2 1 8
Cartesian
3.960 3.747 0.000
3.960 -3.747 0.000
3.960 0.000 2.038
1.296 0.000 2.038
2.649 1.322 0.000
3.960 2.490 2.038
2.649 -1.322 0.000
5.272 1.322 0.000
3.960 -2.490 2.038
5.272 -1.322 0.000
6.625 0.000 2.038
```

---

Entry 4:
Starting from a crystal structure in Alexandria, relaxed with GGA-PBE, the X-ray diffraction stick pattern of Al2Fe3Si3 was computed for Cu Ka.
Peak positions follow from Bragg's law for the DFT cell and can differ from measured ones.

Top 10 peaks for 2θ from 5° to 70°, low angle first:
2θ (°)	I_rel
42.64	37
42.85	48
45.22	36
45.40	55
45.52	100
45.81	35
46.25	39
46.55	32
48.48	56
49.68	34

Structure:
```
Al2Fe3Si3
1.0
4.600 0.000 0.000
-1.160 6.217 0.000
-2.156 -1.969 6.862
Al Fe Si
4 6 6
Cartesian
-0.517 0.364 1.871
1.590 0.985 0.360
-0.306 3.263 6.502
1.802 3.885 4.991
-1.631 4.108 2.851
-0.449 4.973 0.388
0.563 2.825 1.596
0.722 1.423 5.266
1.734 -0.725 6.474
2.916 0.140 4.011
-1.635 1.214 6.083
-0.509 2.323 3.657
0.596 -0.742 4.475
0.689 4.990 2.387
1.794 1.925 3.205
2.919 3.034 0.779
```